# 1
This entry pairs a crystal structure of Cs2NaCaF6 with its theoretical X-ray diffraction stick pattern. Radiation: CuKα. Structure: a structure optimized by DFT (GGA-PBE).
Intensities are scaled so that the largest is 100.

Structure:
a b c (Å): 6.5372 6.5372 6.5372
angles (deg): 60.00 60.00 60.00
Fractional coordinates of all 10 atoms:
Cs 0.2500 0.2500 0.2500
Cs 0.7500 0.7500 0.7500
Na 0.0000 0.0000 0.0000
Ca 0.5000 0.5000 0.5000
F 0.2542 0.2542 0.7458
F 0.2542 0.7458 0.2542
F 0.2542 0.7458 0.7458
F 0.7458 0.2542 0.2542
F 0.7458 0.2542 0.7458
F 0.7458 0.7458 0.2542

Most intense lines, 2θ = 10–80°, low angle first:
Position (°2θ)  Rel. int.
19.2  32
27.3  100
33.6  46
39.0  45
43.8  16
48.2  41
56.3  28
63.7  18
67.2  16
77.2  21


# 2
This entry pairs a crystal structure of Y2HfO5 with its theoretical X-ray diffraction stick pattern. Radiation: CuKα. Structure: a structure optimized by DFT (GGA-PBE).
Intensities are scaled so that the largest is 100.

Structure:
a b c (Å): 5.9964 5.9964 10.9103
angles (deg): 90.00 90.00 139.80
Fractional coordinates of all 16 atoms:
Y 0.1392 0.8608 0.5662
Y 0.1392 0.8608 0.9338
Y 0.8608 0.1392 0.0662
Y 0.8608 0.1392 0.4338
Hf 0.1776 0.8224 0.2500
Hf 0.8224 0.1776 0.7500
O 0.0492 0.9508 0.1196
O 0.0492 0.9508 0.3804
O 0.2661 0.7339 0.7500
O 0.2915 0.7085 0.0885
O 0.2915 0.7085 0.4115
O 0.7085 0.2915 0.5885
O 0.7085 0.2915 0.9115
O 0.7339 0.2661 0.2500
O 0.9508 0.0492 0.6196
O 0.9508 0.0492 0.8804

Most intense lines, 2θ = 10–80°, low angle first:
Position (°2θ)  Rel. int.
15.7  58
23.0  89
24.4  37
29.2  100
32.3  62
33.8  75
40.5  36
43.9  31
52.7  39
53.6  36


# 3
This entry pairs a crystal structure of La3In4Ge with its theoretical X-ray diffraction stick pattern. Radiation: CuKα. Structure: a structure optimized by DFT (GGA-PBE).
Intensities are scaled so that the largest is 100.

Structure:
a b c (Å): 8.6487 8.6487 8.6487
angles (deg): 119.52 119.52 90.83
Fractional coordinates of all 16 atoms:
La 0.1630 0.6630 0.8260
La 0.2500 0.2500 0.0000
La 0.3370 0.1630 0.5000
La 0.6630 0.8370 0.5000
La 0.7500 0.7500 0.0000
La 0.8370 0.3370 0.1740
In 0.0413 0.8280 0.5000
In 0.1720 0.6720 0.2133
In 0.3280 0.5413 0.5000
In 0.4587 0.9587 0.7867
In 0.5413 0.0413 0.2133
In 0.6720 0.4587 0.5000
In 0.8280 0.3280 0.7867
In 0.9587 0.1720 0.5000
Ge 0.0000 0.0000 0.0000
Ge 0.5000 0.5000 0.0000

Most intense lines, 2θ = 10–80°, low angle first:
Position (°2θ)  Rel. int.
29.0  9
29.4  11
31.9  100
32.5  61
44.4  15
46.6  9
48.6  12
61.8  20
64.2  7
64.7  9


# 4
This entry pairs a crystal structure of K2BaS12O12 with its theoretical X-ray diffraction stick pattern. Radiation: CuKα. Structure: a structure optimized by DFT (GGA-PBE).
Intensities are scaled so that the largest is 100.

Structure:
a b c (Å): 11.8952 11.1257 9.3852
angles (deg): 90.00 112.12 90.00
Fractional coordinates of all 54 atoms:
K 0.0000 0.0000 0.0000
K 0.0000 0.0000 0.5000
K 0.5000 0.4482 0.2500
K 0.5000 0.5518 0.7500
Ba 0.5000 0.0132 0.2500
Ba 0.5000 0.9868 0.7500
S 0.1025 0.3475 0.9533
S 0.1025 0.6525 0.4533
S 0.1521 0.4163 0.1750
S 0.1521 0.5837 0.6750
S 0.1678 0.2850 0.3326
S 0.1678 0.7150 0.8326
S 0.2484 0.1080 0.9223
S 0.2484 0.8920 0.4223
S 0.2509 0.3020 0.9062
S 0.2509 0.6980 0.4062
S 0.3631 0.2736 0.4556
S 0.3631 0.7264 0.9556
S 0.6369 0.2736 0.0444
S 0.6369 0.7264 0.5444
S 0.7491 0.3020 0.5938
S 0.7491 0.6980 0.0938
S 0.7516 0.1080 0.5777
S 0.7516 0.8920 0.0777
S 0.8322 0.2850 0.1674
S 0.8322 0.7150 0.6674
S 0.8479 0.4163 0.3250
S 0.8479 0.5837 0.8250
S 0.8975 0.3475 0.5467
S 0.8975 0.6525 0.0467
O 0.1413 0.0670 0.7941
O 0.1413 0.9330 0.2941
O 0.2450 0.0783 0.0732
O 0.2450 0.9217 0.5732
O 0.3664 0.0767 0.9136
O 0.3664 0.9233 0.4136
O 0.3690 0.1887 0.5775
O 0.3690 0.8113 0.0775
O 0.4019 0.3965 0.5069
O 0.4019 0.6035 0.0069
O 0.4161 0.2298 0.3467
O 0.4161 0.7702 0.8467
O 0.5839 0.2298 0.1533
O 0.5839 0.7702 0.6533
O 0.5981 0.3965 0.9931
O 0.5981 0.6035 0.4931
O 0.6310 0.1887 0.9225
O 0.6310 0.8113 0.4225
O 0.6336 0.0767 0.5864
O 0.6336 0.9233 0.0864
O 0.7550 0.0783 0.4268
O 0.7550 0.9217 0.9268
O 0.8587 0.0670 0.7059
O 0.8587 0.9330 0.2059

Most intense lines, 2θ = 10–80°, low angle first:
Position (°2θ)  Rel. int.
11.3  59
22.3  48
22.7  57
23.5  43
24.0  42
24.7  40
24.8  100
25.2  66
26.0  49
26.2  38


# 5
This entry pairs a crystal structure of K3Ta2Ag3Se8 with its theoretical X-ray diffraction stick pattern. Radiation: CuKα. Structure: a structure optimized by DFT (GGA-PBE).
Intensities are scaled so that the largest is 100.

Structure:
a b c (Å): 13.2359 13.2359 14.7647
angles (deg): 118.48 118.48 26.98
Fractional coordinates of all 32 atoms:
K 0.0000 0.0000 0.0000
K 0.0000 0.0000 0.5000
K 0.2268 0.3815 0.8925
K 0.3815 0.2268 0.3925
K 0.6185 0.7732 0.6075
K 0.7732 0.6185 0.1075
Ta 0.1775 0.5664 0.2186
Ta 0.4336 0.8225 0.2814
Ta 0.5664 0.1775 0.7186
Ta 0.8225 0.4336 0.7814
Ag 0.0652 0.6768 0.7090
Ag 0.3078 0.6922 0.2500
Ag 0.3232 0.9348 0.7910
Ag 0.6768 0.0652 0.2090
Ag 0.6922 0.3078 0.7500
Ag 0.9348 0.3232 0.2910
Se 0.0020 0.1937 0.8901
Se 0.0823 0.2356 0.6821
Se 0.1937 0.0020 0.3901
Se 0.2356 0.0823 0.1821
Se 0.2678 0.3041 0.6029
Se 0.3041 0.2678 0.1029
Se 0.4243 0.4824 0.8487
Se 0.4824 0.4243 0.3487
Se 0.5176 0.5757 0.6513
Se 0.5757 0.5176 0.1513
Se 0.6959 0.7322 0.8971
Se 0.7322 0.6959 0.3971
Se 0.7644 0.9177 0.8179
Se 0.8063 0.9980 0.6099
Se 0.9177 0.7644 0.3179
Se 0.9980 0.8063 0.1099

Most intense lines, 2θ = 10–80°, low angle first:
Position (°2θ)  Rel. int.
12.0  29
13.8  100
15.0  51
15.6  28
15.8  38
26.5  26
28.9  32
33.1  23
40.5  43
40.9  27


# 6
This entry pairs a crystal structure of Rh2O3 with its theoretical X-ray diffraction stick pattern. Radiation: CuKα. Structure: a structure optimized by DFT (GGA-PBE).
Intensities are scaled so that the largest is 100.

Structure:
a b c (Å): 7.7444 3.0625 9.2067
angles (deg): 90.00 90.00 90.00
Fractional coordinates of all 20 atoms:
Rh 0.0158 0.2500 0.1610
Rh 0.1746 0.2500 0.5335
Rh 0.3254 0.7500 0.0335
Rh 0.4842 0.7500 0.6610
Rh 0.5158 0.2500 0.3390
Rh 0.6746 0.2500 0.9665
Rh 0.8254 0.7500 0.4665
Rh 0.9842 0.7500 0.8390
O 0.0356 0.7500 0.6186
O 0.1419 0.2500 0.9582
O 0.1699 0.7500 0.2058
O 0.3301 0.2500 0.7058
O 0.3581 0.7500 0.4582
O 0.4644 0.2500 0.1186
O 0.5356 0.7500 0.8814
O 0.6419 0.2500 0.5418
O 0.6699 0.7500 0.2942
O 0.8301 0.2500 0.7942
O 0.8581 0.7500 0.0418
O 0.9644 0.2500 0.3814

Most intense lines, 2θ = 10–80°, low angle first:
Position (°2θ)  Rel. int.
30.2  59
31.4  100
32.9  57
36.1  64
37.1  57
37.4  56
38.7  92
42.4  43
58.5  43
61.9  46


# 7
This entry pairs a crystal structure of Nd3Ag4Sn4 with its theoretical X-ray diffraction stick pattern. Radiation: CuKα. Structure: a structure optimized by DFT (GGA-PBE).
Intensities are scaled so that the largest is 100.

Structure:
a b c (Å): 8.9666 8.9666 8.9666
angles (deg): 149.59 131.18 58.62
Fractional coordinates of all 11 atoms:
Nd 0.0000 0.0000 0.0000
Nd 0.3704 0.8704 0.5000
Nd 0.6296 0.1296 0.5000
Ag 0.0254 0.3300 0.6954
Ag 0.3653 0.6700 0.6954
Ag 0.6347 0.3300 0.3046
Ag 0.9746 0.6700 0.3046
Sn 0.2150 0.2150 0.0000
Sn 0.3058 0.5000 0.8058
Sn 0.6942 0.5000 0.1942
Sn 0.7850 0.7850 0.0000

Most intense lines, 2θ = 10–80°, low angle first:
Position (°2θ)  Rel. int.
31.0  26
31.3  100
32.1  89
34.4  30
35.3  19
38.3  48
40.4  29
42.4  32
56.9  21
70.9  18


# 8
This entry pairs a crystal structure of CsNbS2O9 with its theoretical X-ray diffraction stick pattern. Radiation: CuKα. Structure: a structure optimized by DFT (GGA-PBE).
Intensities are scaled so that the largest is 100.

Structure:
a b c (Å): 18.6904 5.2620 9.1863
angles (deg): 90.00 90.00 90.00
Fractional coordinates of all 52 atoms:
Cs 0.0710 0.2500 0.1681
Cs 0.4290 0.7500 0.6681
Cs 0.5710 0.2500 0.3319
Cs 0.9290 0.7500 0.8319
Nb 0.1852 0.7500 0.5670
Nb 0.3148 0.2500 0.0670
Nb 0.6852 0.7500 0.9330
Nb 0.8148 0.2500 0.4330
S 0.0718 0.2500 0.6318
S 0.2046 0.7500 0.9620
S 0.2954 0.2500 0.4620
S 0.4282 0.7500 0.1318
S 0.5718 0.2500 0.8682
S 0.7046 0.7500 0.5380
S 0.7954 0.2500 0.0380
S 0.9282 0.7500 0.3682
O 0.0210 0.2500 0.7510
O 0.0436 0.2500 0.4858
O 0.1227 0.0232 0.6543
O 0.1227 0.4768 0.6543
O 0.1274 0.7500 0.9763
O 0.1515 0.7500 0.3910
O 0.2325 0.7500 0.8127
O 0.2342 0.5198 0.0427
O 0.2342 0.9802 0.0427
O 0.2658 0.0198 0.5427
O 0.2658 0.4802 0.5427
O 0.2675 0.2500 0.3127
O 0.3485 0.2500 0.8910
O 0.3726 0.2500 0.4763
O 0.3773 0.5232 0.1543
O 0.3773 0.9768 0.1543
O 0.4564 0.7500 0.9858
O 0.4790 0.7500 0.2510
O 0.5210 0.2500 0.7490
O 0.5436 0.2500 0.0142
O 0.6227 0.0232 0.8457
O 0.6227 0.4768 0.8457
O 0.6274 0.7500 0.5237
O 0.6515 0.7500 0.1090
O 0.7325 0.7500 0.6873
O 0.7342 0.5198 0.4573
O 0.7342 0.9802 0.4573
O 0.7658 0.0198 0.9573
O 0.7658 0.4802 0.9573
O 0.7675 0.2500 0.1873
O 0.8485 0.2500 0.6090
O 0.8726 0.2500 0.0237
O 0.8773 0.5232 0.3457
O 0.8773 0.9768 0.3457
O 0.9564 0.7500 0.5142
O 0.9790 0.7500 0.2490

Most intense lines, 2θ = 10–80°, low angle first:
Position (°2θ)  Rel. int.
19.4  25
19.9  25
21.3  19
21.6  25
24.1  20
25.5  100
26.2  25
27.5  26
34.1  20
35.4  15


# 9
This entry pairs a crystal structure of Ta2AlC with its theoretical X-ray diffraction stick pattern. Radiation: CuKα. Structure: a structure optimized by DFT (GGA-PBE).
Intensities are scaled so that the largest is 100.

Structure:
a b c (Å): 3.1044 3.1044 13.9311
angles (deg): 90.00 90.00 120.00
Fractional coordinates of all 8 atoms:
Ta 0.3333 0.6667 0.0897
Ta 0.3333 0.6667 0.4103
Ta 0.6667 0.3333 0.5897
Ta 0.6667 0.3333 0.9103
Al 0.3333 0.6667 0.7500
Al 0.6667 0.3333 0.2500
C 0.0000 0.0000 0.0000
C 0.0000 0.0000 0.5000

Most intense lines, 2θ = 10–80°, low angle first:
Position (°2θ)  Rel. int.
12.7  35
25.6  13
33.3  19
34.0  22
38.7  100
52.0  13
57.6  10
59.6  17
70.2  13
73.3  29


# 10
This entry pairs a crystal structure of Ga2HgO4 with its theoretical X-ray diffraction stick pattern. Radiation: CuKα. Structure: a structure optimized by DFT (GGA-PBE).
Intensities are scaled so that the largest is 100.

Structure:
a b c (Å): 9.3209 3.0259 10.9620
angles (deg): 90.00 90.00 90.00
Fractional coordinates of all 28 atoms:
Ga 0.0682 0.2500 0.1118
Ga 0.0807 0.2500 0.6057
Ga 0.4193 0.7500 0.1057
Ga 0.4318 0.7500 0.6118
Ga 0.5682 0.2500 0.3882
Ga 0.5807 0.2500 0.8943
Ga 0.9193 0.7500 0.3943
Ga 0.9318 0.7500 0.8882
Hg 0.2430 0.2500 0.3468
Hg 0.2570 0.7500 0.8468
Hg 0.7430 0.2500 0.1532
Hg 0.7570 0.7500 0.6532
O 0.0230 0.7500 0.7155
O 0.0751 0.2500 0.9290
O 0.1125 0.7500 0.4817
O 0.2063 0.7500 0.1497
O 0.2937 0.2500 0.6497
O 0.3875 0.2500 0.9817
O 0.4249 0.7500 0.4290
O 0.4770 0.2500 0.2155
O 0.5230 0.7500 0.7845
O 0.5751 0.2500 0.5710
O 0.6125 0.7500 0.0183
O 0.7063 0.7500 0.3503
O 0.7937 0.2500 0.8503
O 0.8875 0.2500 0.5183
O 0.9249 0.7500 0.0710
O 0.9770 0.2500 0.2845

Most intense lines, 2θ = 10–80°, low angle first:
Position (°2θ)  Rel. int.
18.8  54
30.7  34
32.2  29
32.7  44
33.1  100
36.3  31
39.9  63
42.5  23
48.9  42
50.1  24